Structure and theoretical powder diffractogram of SrH8IrPd2 (the GGA-PBE geometry in Alexandria; a wavelength of 1.5418 Å).

The 6 most intense peaks (10 to 90 degrees two-theta), in order of rising 2θ:
2θ = 22.67°, I 216
2θ = 27.23°, I 430
2θ = 32.71°, I 1000
2θ = 42.39°, I 306
2θ = 43.04°, I 245
2θ = 43.74°, I 221

Structure:
Unit cell a=4.5144 b=4.5156 c=6.3233 alpha=71.11 beta=70.99 gamma=74.72
Element x y z (fractional)
Sr (0.0000, 0.0000, 0.0000)
H (0.1450, 0.6750, 0.7004)
H (0.2226, 0.2233, 0.5360)
H (0.3264, 0.8564, 0.2988)
H (0.3653, 0.3641, 0.0087)
H (0.6347, 0.6359, 0.9913)
H (0.6736, 0.1436, 0.7012)
H (0.7774, 0.7767, 0.4640)
H (0.8550, 0.3250, 0.2996)
Ir (0.0000, 0.0000, 0.5000)
Pd (0.4394, 0.4407, 0.2566)
Pd (0.5606, 0.5593, 0.7434)

Structure and theoretical powder diffractogram of TbH6IrPd2 (the GGA-PBE geometry in Alexandria; a wavelength of 1.5418 Å).

The 6 most intense peaks (10 to 90 degrees two-theta), in order of rising 2θ:
2θ = 34.15°, I 1000
2θ = 39.11°, I 131
2θ = 39.67°, I 180
2θ = 40.13°, I 172
2θ = 68.47°, I 132
2θ = 69.11°, I 129

Structure:
Unit cell a=4.6063 b=8.9874 c=4.5438 alpha=90.00 beta=90.00 gamma=90.00
Element x y z (fractional)
Tb (0.0000, 0.0000, 0.0000)
Tb (0.5000, 0.5000, 0.5000)
H (0.1381, 0.3668, 0.2461)
H (0.1381, 0.3668, 0.7539)
H (0.1716, 0.0866, 0.5000)
H (0.3284, 0.5866, 0.0000)
H (0.3619, 0.8668, 0.2539)
H (0.3619, 0.8668, 0.7461)
H (0.6381, 0.1332, 0.2539)
H (0.6381, 0.1332, 0.7461)
H (0.6716, 0.4134, 0.0000)
H (0.8284, 0.9134, 0.5000)
H (0.8619, 0.6332, 0.2461)
H (0.8619, 0.6332, 0.7539)
Ir (0.0000, 0.5000, 0.0000)
Ir (0.5000, 0.0000, 0.5000)
Pd (0.0764, 0.7485, 0.5000)
Pd (0.4236, 0.2485, 0.0000)
Pd (0.5764, 0.7515, 0.0000)
Pd (0.9236, 0.2515, 0.5000)

Structure and theoretical powder diffractogram of ThH6IrPd (the GGA-PBE geometry in Alexandria; a wavelength of 1.5418 Å).

The 6 most intense peaks (10 to 90 degrees two-theta), in order of rising 2θ:
2θ = 30.13°, I 1000
2θ = 37.58°, I 525
2θ = 42.58°, I 122
2θ = 48.90°, I 270
2θ = 58.08°, I 306
2θ = 63.27°, I 251

Structure:
Unit cell a=4.7862 b=4.7862 c=4.2461 alpha=90.00 beta=90.00 gamma=120.00
Element x y z (fractional)
Th (0.0000, 0.0000, 0.0000)
H (0.5104, 0.0208, 0.2247)
H (0.5104, 0.0208, 0.7753)
H (0.5104, 0.4896, 0.2247)
H (0.5104, 0.4896, 0.7753)
H (0.9792, 0.4896, 0.2247)
H (0.9792, 0.4896, 0.7753)
Ir (0.6667, 0.3333, 0.5000)
Pd (0.3333, 0.6667, 0.5000)

Structure and theoretical powder diffractogram of YH6IrPd2 (the GGA-PBE geometry in Alexandria; a wavelength of 1.5418 Å).

The 6 most intense peaks (10 to 90 degrees two-theta), in order of rising 2θ:
2θ = 34.18°, I 1000
2θ = 39.17°, I 127
2θ = 39.76°, I 180
2θ = 40.08°, I 173
2θ = 68.60°, I 130
2θ = 69.04°, I 128

Structure:
Unit cell a=4.5997 b=8.9993 c=4.5346 alpha=90.00 beta=90.00 gamma=90.00
Element x y z (fractional)
Y (0.0000, 0.0000, 0.0000)
Y (0.5000, 0.5000, 0.5000)
H (0.1401, 0.3670, 0.2456)
H (0.1401, 0.3670, 0.7544)
H (0.1714, 0.0867, 0.5000)
H (0.3286, 0.5867, 0.0000)
H (0.3599, 0.8670, 0.2544)
H (0.3599, 0.8670, 0.7456)
H (0.6401, 0.1330, 0.2544)
H (0.6401, 0.1330, 0.7456)
H (0.6714, 0.4133, 0.0000)
H (0.8286, 0.9133, 0.5000)
H (0.8599, 0.6330, 0.2456)
H (0.8599, 0.6330, 0.7544)
Ir (0.0000, 0.5000, 0.0000)
Ir (0.5000, 0.0000, 0.5000)
Pd (0.0737, 0.7484, 0.5000)
Pd (0.4263, 0.2484, 0.0000)
Pd (0.5737, 0.7516, 0.0000)
Pd (0.9263, 0.2516, 0.5000)

Structure and theoretical powder diffractogram of Zn2H6IrPd (the GGA-PBE geometry in Alexandria; a wavelength of 1.5418 Å).

The 6 most intense peaks (10 to 90 degrees two-theta), in order of rising 2θ:
2θ = 18.45°, I 1000
2θ = 19.45°, I 519
2θ = 24.13°, I 439
2θ = 31.82°, I 443
2θ = 38.72°, I 358
2θ = 39.41°, I 347

Structure:
Unit cell a=4.5669 b=4.8419 c=4.9223 alpha=77.74 beta=85.08 gamma=73.99
Element x y z (fractional)
Zn (0.0000, 0.0000, 0.0000)
Zn (0.4074, 0.3355, 0.2451)
H (0.1268, 0.2971, 0.6580)
H (0.2191, 0.8400, 0.5662)
H (0.3975, 0.6956, 0.0494)
H (0.6475, 0.3655, 0.6210)
H (0.7622, 0.8817, 0.5759)
H (0.9202, 0.4985, 0.2566)
Ir (0.9445, 0.1556, 0.4766)
Pd (0.5717, 0.7842, 0.3121)

Structure and theoretical powder diffractogram of PmH4Ir (the GGA-PBE geometry in Alexandria; a wavelength of 1.5418 Å).

The 6 most intense peaks (10 to 90 degrees two-theta), in order of rising 2θ:
2θ = 28.18°, I 1000
2θ = 29.15°, I 473
2θ = 39.33°, I 413
2θ = 40.39°, I 199
2θ = 42.61°, I 341
2θ = 50.40°, I 192

Structure:
Unit cell a=4.5903 b=4.5903 c=7.2237 alpha=105.56 beta=105.56 gamma=58.56
Element x y z (fractional)
Pm (0.2119, 0.7881, 0.7500)
Pm (0.7881, 0.2119, 0.2500)
H (0.1453, 0.2718, 0.6071)
H (0.2671, 0.6691, 0.0824)
H (0.2718, 0.1453, 0.1071)
H (0.3309, 0.7329, 0.4176)
H (0.6691, 0.2671, 0.5824)
H (0.7282, 0.8547, 0.8929)
H (0.7329, 0.3309, 0.9176)
H (0.8547, 0.7282, 0.3929)
Ir (0.0000, 0.5000, 0.0000)
Ir (0.5000, 0.0000, 0.5000)